Entry 1:
For Ac3Nd2Mg3, DFT lattice parameters and positions (GGA-PBE) gives the theoretical X-ray powder pattern in this record (Cu Kα (weighted mean of Kα1 and Kα2)).
Kinematic intensities with the Lorentz-polarization factor, no thermal factor.

Peak list (10 most intense, 10 to 90 degrees two-theta, by intensity)
30.9°, 2.897 Å, I = 100, (1 1 4); 24.1°, 3.692 Å, I = 32, (0 1 5); 30.5°, 2.926 Å, I = 27, (0 2 0); 22.4°, 3.971 Å, I = 26, (1 0 1); 18.8°, 4.709 Å, I = 24, (0 1 3); 30.0°, 2.974 Å, I = 24, (0 0 8); 54.5°, 1.684 Å, I = 21, (1 3 4); 43.4°, 2.086 Å, I = 18, (0 2 8); 53.9°, 1.702 Å, I = 16, (1 1 12); 38.2°, 2.356 Å, I = 14, (1 2 1)

Atomic structure:
abc: 4.0273 5.8527 23.7918
angles: 90.00 90.00 90.00
Fractional positions:
Ac 0.0000 0.0000 0.0000
Ac 0.0000 0.5000 0.1247
Ac 0.0000 0.5000 0.8753
Ac 0.5000 0.0000 0.3753
Ac 0.5000 0.0000 0.6247
Ac 0.5000 0.5000 0.5000
Nd 0.0000 0.0000 0.2358
Nd 0.0000 0.0000 0.7642
Nd 0.5000 0.5000 0.2642
Nd 0.5000 0.5000 0.7358
Mg 0.0000 0.0000 0.5000
Mg 0.0000 0.5000 0.3776
Mg 0.0000 0.5000 0.6224
Mg 0.5000 0.0000 0.1224
Mg 0.5000 0.0000 0.8776
Mg 0.5000 0.5000 0.0000

***

Entry 2:
For SrBiRh, DFT lattice parameters and positions (GGA-PBE) gives the theoretical X-ray powder pattern in this record (Cu Kα (weighted mean of Kα1 and Kα2)).
Kinematic intensities with the Lorentz-polarization factor, no thermal factor.

Peak list (10 most intense, 10 to 90 degrees two-theta, by intensity)
35.9°, 2.500 Å, I = 100, (1 2 1); 29.1°, 3.065 Å, I = 86, (1 2 -1); 34.5°, 2.599 Å, I = 65, (1 1 -3); 17.8°, 4.973 Å, I = 62, (0 1 1); 20.1°, 4.419 Å, I = 58, (1 1 0); 31.2°, 2.866 Å, I = 52, (2 0 0); 30.2°, 2.960 Å, I = 46, (2 1 -2); 44.7°, 2.028 Å, I = 26, (2 1 -4); 28.1°, 3.171 Å, I = 26, (0 1 2); 42.5°, 2.126 Å, I = 25, (2 2 -3)

Atomic structure:
abc: 6.8463 6.9389 8.5150
angles: 90.00 123.15 90.00
Fractional positions:
Sr 0.2132 0.1415 0.4219
Sr 0.2132 0.3585 0.9219
Sr 0.7868 0.6415 0.0781
Sr 0.7868 0.8585 0.5781
Bi 0.2521 0.6323 0.5672
Bi 0.2521 0.8677 0.0672
Bi 0.7479 0.1323 0.9328
Bi 0.7479 0.3677 0.4328
Rh 0.3714 0.5918 0.3184
Rh 0.3714 0.9082 0.8184
Rh 0.6286 0.0918 0.1816
Rh 0.6286 0.4082 0.6816

***

Entry 3:
For Ta2Nb3Pd2, DFT lattice parameters and positions (GGA-PBE) gives the theoretical X-ray powder pattern in this record (Cu Kα (weighted mean of Kα1 and Kα2)).
Kinematic intensities with the Lorentz-polarization factor, no thermal factor.

Peak list (10 most intense, 10 to 90 degrees two-theta, by intensity)
38.1°, 2.364 Å, I = 100, (1 7 0); 39.1°, 2.306 Å, I = 82, (1 1 1); 41.6°, 2.173 Å, I = 46, (0 8 1); 36.1°, 2.491 Å, I = 33, (0 6 1); 70.7°, 1.333 Å, I = 32, (1 7 2); 40.6°, 2.222 Å, I = 29, (1 3 1); 15.1°, 5.878 Å, I = 22, (0 4 0); 72.9°, 1.298 Å, I = 20, (1 15 1); 71.4°, 1.321 Å, I = 18, (2 8 1); 55.2°, 1.664 Å, I = 18, (2 0 0)

Atomic structure:
abc: 3.3284 23.5139 3.2270
angles: 90.00 90.00 90.00
Fractional positions:
Ta 0.0000 0.1428 0.0000
Ta 0.0000 0.8572 0.0000
Ta 0.5000 0.3572 0.0000
Ta 0.5000 0.6428 0.0000
Nb 0.0000 0.0000 0.0000
Nb 0.0000 0.4291 0.5000
Nb 0.0000 0.5709 0.5000
Nb 0.5000 0.0709 0.5000
Nb 0.5000 0.5000 0.0000
Nb 0.5000 0.9291 0.5000
Pd 0.0000 0.2967 0.5000
Pd 0.0000 0.7033 0.5000
Pd 0.5000 0.2033 0.5000
Pd 0.5000 0.7967 0.5000